Starting from a GGA-PBE-relaxed structure, the powder XRD pattern of LaPm4Se5 was computed for Cu Kα (weighted mean of Kα1 and Kα2).
No peak broadening, texture or thermal motion is included.

Structure:
```
LaPm4Se5
1.0
-2.1092 2.1092 14.9496
2.1092 -2.1092 14.9496
2.1092 2.1092 -14.9496
La Pm Se
1 4 5
direct
0.0000 0.0000 0.0000 La
0.1986 0.1986 0.0000 Pm
0.3984 0.3984 0.0000 Pm
0.6016 0.6016 0.0000 Pm
0.8014 0.8014 0.0000 Pm
0.1007 0.1007 0.0000 Se
0.2987 0.2987 0.0000 Se
0.5000 0.5000 0.0000 Se
0.7013 0.7013 0.0000 Se
0.8993 0.8993 0.0000 Se
```

The 10 most intense peaks (15° ≤ 2θ ≤ 90°), most intense first:
Position (°2θ), d_spacing, I/Imax
29.93, 2.985, 100
42.84, 2.111, 75
53.14, 1.724, 26
70.59, 1.334, 22
78.52, 1.218, 17
25.85, 3.447, 16
70.45, 1.337, 11
78.41, 1.220, 8
62.25, 1.491, 8
50.71, 1.800, 8

Starting from a GGA-PBE-relaxed structure, the powder XRD pattern of Sm2Mg2Cd was computed for Cu Kα (weighted mean of Kα1 and Kα2).
No peak broadening, texture or thermal motion is included.

Structure:
```
Sm2Mg2Cd
1.0
5.6836 -2.6253 0.0000
5.6836 2.6253 0.0000
-2.7924 0.0000 8.9767
Sm Mg Cd
4 4 2
direct
0.0354 0.0354 0.3458 Sm
0.1649 0.1649 0.0629 Sm
0.8351 0.8351 0.9371 Sm
0.9646 0.9646 0.6542 Sm
0.3580 0.3580 0.4228 Mg
0.4776 0.4776 0.1428 Mg
0.5224 0.5224 0.8572 Mg
0.6420 0.6420 0.5772 Mg
0.2605 0.2605 0.7037 Cd
0.7395 0.7395 0.2963 Cd
```

The 10 most intense peaks (15° ≤ 2θ ≤ 90°), most intense first:
Position (°2θ), d_spacing, I/Imax
33.94, 2.641, 100
33.30, 2.690, 90
18.77, 4.727, 64
48.29, 1.885, 55
34.15, 2.625, 54
31.73, 2.820, 51
33.12, 2.705, 44
21.50, 4.133, 29
60.60, 1.528, 25
29.86, 2.992, 24

Starting from a GGA-PBE-relaxed structure, the powder XRD pattern of KMn2BiBr8 was computed for Cu Kα (weighted mean of Kα1 and Kα2).
No peak broadening, texture or thermal motion is included.

Structure:
```
KMn2BiBr8
1.0
6.8927 0.0000 0.0000
1.3794 6.7587 0.0000
1.8374 1.4266 9.1419
K Mn Bi Br
1 2 1 8
direct
0.0000 0.0000 0.0000 K
0.4466 0.4526 0.2150 Mn
0.5534 0.5474 0.7850 Mn
0.0000 0.0000 0.5000 Bi
0.2027 0.7460 0.7294 Br
0.2650 0.2864 0.4629 Br
0.2703 0.8118 0.2663 Br
0.3214 0.3394 0.0146 Br
0.6786 0.6606 0.9854 Br
0.7297 0.1882 0.7337 Br
0.7350 0.7136 0.5371 Br
0.7973 0.2540 0.2706 Br
```

The 10 most intense peaks (15° ≤ 2θ ≤ 90°), most intense first:
Position (°2θ), d_spacing, I/Imax
15.15, 5.849, 100
28.37, 3.145, 58
28.19, 3.165, 57
17.13, 5.176, 52
27.80, 3.209, 44
30.14, 2.965, 33
41.41, 2.180, 32
20.36, 4.361, 30
39.43, 2.285, 30
45.02, 2.014, 23

Starting from a GGA-PBE-relaxed structure, the powder XRD pattern of LaTb2Er2Tm2 was computed for Cu Kα (weighted mean of Kα1 and Kα2).
No peak broadening, texture or thermal motion is included.

Structure:
```
LaTb2Er2Tm2
1.0
11.4501 0.0000 0.0000
0.0000 3.4904 0.0000
-2.3071 0.0000 11.4736
La Tb Er Tm
2 4 4 4
direct
0.0000 0.0000 0.0000 La
0.5000 0.5000 0.0000 La
0.1550 0.5000 0.5744 Tb
0.3450 0.0000 0.4256 Tb
0.6550 0.0000 0.5744 Tb
0.8450 0.5000 0.4256 Tb
0.0948 0.5000 0.2731 Er
0.4052 0.0000 0.7269 Er
0.5948 0.0000 0.2731 Er
0.9052 0.5000 0.7269 Er
0.2040 0.5000 0.8697 Tm
0.2960 0.0000 0.1303 Tm
0.7040 0.0000 0.8697 Tm
0.7960 0.5000 0.1303 Tm
```

The 10 most intense peaks (15° ≤ 2θ ≤ 90°), most intense first:
Position (°2θ), d_spacing, I/Imax
30.78, 2.905, 100
31.28, 2.859, 80
32.12, 2.786, 76
35.16, 2.552, 68
34.65, 2.589, 68
62.83, 1.479, 45
53.50, 1.713, 44
27.43, 3.252, 42
26.75, 3.333, 39
30.21, 2.958, 37

Starting from a GGA-PBE-relaxed structure, the powder XRD pattern of MnBeZnIr was computed for Cu Kα (weighted mean of Kα1 and Kα2).
No peak broadening, texture or thermal motion is included.

Structure:
```
MnBeZnIr
1.0
2.9603 0.0000 0.0000
0.0000 3.9957 0.0000
0.0000 0.0000 4.2381
Mn Be Zn Ir
1 1 1 1
direct
0.0000 0.0000 0.0000 Mn
0.0000 0.5000 0.5000 Be
0.5000 0.5000 0.0000 Zn
0.5000 0.0000 0.5000 Ir
```

The 10 most intense peaks (15° ≤ 2θ ≤ 90°), most intense first:
Position (°2θ), d_spacing, I/Imax
43.64, 2.074, 100
30.75, 2.907, 49
22.25, 3.996, 39
42.67, 2.119, 27
78.82, 1.214, 26
30.19, 2.960, 26
45.40, 1.998, 22
37.04, 2.427, 21
64.06, 1.454, 16
82.64, 1.168, 15

Starting from a GGA-PBE-relaxed structure, the powder XRD pattern of BaDy2ZnO5 was computed for Cu Kα (weighted mean of Kα1 and Kα2).
No peak broadening, texture or thermal motion is included.

Structure:
```
BaDy2ZnO5
1.0
12.4429 0.0000 0.0000
0.0000 5.7594 0.0000
0.0000 0.0000 7.1484
Ba Dy Zn O
4 8 4 20
direct
0.1015 0.2500 0.0771 Ba
0.3985 0.7500 0.5771 Ba
0.6015 0.2500 0.4229 Ba
0.8985 0.7500 0.9229 Ba
0.0745 0.7500 0.3997 Dy
0.2081 0.2500 0.6183 Dy
0.2919 0.7500 0.1183 Dy
0.4255 0.2500 0.8997 Dy
0.5745 0.7500 0.1003 Dy
0.7081 0.2500 0.8817 Dy
0.7919 0.7500 0.3817 Dy
0.9255 0.2500 0.6003 Dy
0.1499 0.7500 0.8084 Zn
0.3501 0.2500 0.3084 Zn
0.6499 0.7500 0.6916 Zn
0.8501 0.2500 0.1916 Zn
0.0661 0.5016 0.6630 O
0.0661 0.9984 0.6630 O
0.1003 0.7500 0.0751 O
0.2247 0.0004 0.3580 O
0.2247 0.4996 0.3580 O
0.2753 0.9996 0.8580 O
0.2753 0.5004 0.8580 O
0.3997 0.2500 0.5751 O
0.4339 0.0016 0.1630 O
0.4339 0.4984 0.1630 O
0.5661 0.5016 0.8370 O
0.5661 0.9984 0.8370 O
0.6003 0.7500 0.4249 O
0.7247 0.0004 0.1420 O
0.7247 0.4996 0.1420 O
0.7753 0.9996 0.6420 O
0.7753 0.5004 0.6420 O
0.8997 0.2500 0.9249 O
0.9339 0.0016 0.3370 O
0.9339 0.4984 0.3370 O
```

The 10 most intense peaks (15° ≤ 2θ ≤ 90°), most intense first:
Position (°2θ), d_spacing, I/Imax
29.33, 3.045, 100
30.29, 2.950, 82
31.06, 2.880, 54
44.72, 2.027, 33
31.36, 2.852, 22
54.20, 1.692, 22
32.75, 2.735, 20
36.67, 2.451, 18
40.94, 2.204, 18
58.37, 1.581, 17